Entry 1:
Simulated X-ray powder pattern of Tb4Pm5Mg for a wavelength of 1.5418 Å, from a DFT-relaxed cell (PBE, Alexandria).
Lines closer than 0.1° are merged.

Structural model:
```
10
Lattice="3.6243 0.0000 0.0000 0.0000 3.6243 0.0000 0.0000 0.0000 24.6392" Properties=species:S:1:pos:R:3 pbc="T T T"
Tb 0.0000 0.0000 2.5331
Tb 0.0000 0.0000 7.6040
Tb 0.0000 0.0000 17.0352
Tb 0.0000 0.0000 22.1062
Pm 1.8122 1.8122 0.0000
Pm 1.8122 1.8122 5.0606
Pm 1.8122 1.8122 10.1029
Pm 1.8122 1.8122 14.5363
Pm 1.8122 1.8122 19.5786
Mg 0.0000 0.0000 12.3196
```

Most intense lines, 2θ = 10–80°, sorted by position:
28.58 deg, intensity 6; 30.62 deg, intensity 100; 35.01 deg, intensity 37; 36.47 deg, intensity 14; 50.35 deg, intensity 13; 51.45 deg, intensity 20; 58.28 deg, intensity 5; 60.09 deg, intensity 29; 62.03 deg, intensity 9; 63.75 deg, intensity 11

=====

Entry 2:
Simulated X-ray powder pattern of Tb5Pm4Mg for a wavelength of 1.5418 Å, from a DFT-relaxed cell (PBE, Alexandria).
Lines closer than 0.1° are merged.

Structural model:
```
10
Lattice="-5.3525 5.3525 2.9091 5.3525 -5.3525 2.9091 5.3525 5.3525 -2.9091" Properties=species:S:1:pos:R:3 pbc="T T T"
Tb 0.0000 0.0000 0.0000
Tb 3.3697 3.3697 -1.2393
Tb 1.9828 -1.9828 1.6698
Tb -1.9828 1.9828 1.6698
Tb 1.9828 1.9828 1.6698
Pm 5.3525 -1.9489 1.7440
Pm 5.3525 1.9489 1.7440
Pm -1.9489 5.3525 1.7440
Pm 1.9489 5.3525 1.7440
Mg 0.0000 0.0000 3.0301
```

Most intense lines, 2θ = 10–80°, sorted by position:
29.36 deg, intensity 100; 30.73 deg, intensity 17; 33.90 deg, intensity 9; 35.11 deg, intensity 11; 35.58 deg, intensity 35; 47.71 deg, intensity 17; 51.20 deg, intensity 11; 53.81 deg, intensity 16; 59.54 deg, intensity 10; 60.12 deg, intensity 19

=====

Entry 3:
Simulated X-ray powder pattern of Tb12Pm2Mg for a wavelength of 1.5418 Å, from a DFT-relaxed cell (PBE, Alexandria).
Lines closer than 0.1° are merged.

Structural model:
```
30
Lattice="3.5257 -5.6860 0.0000 3.5257 5.6860 0.0000 -3.3800 0.0000 24.1604" Properties=species:S:1:pos:R:3 pbc="T T T"
Tb 0.5082 2.4910 7.4112
Tb 3.1631 -2.4910 16.7493
Tb -0.7432 2.8162 19.9778
Tb 2.6539 2.9488 1.3593
Tb -1.1466 0.0000 15.6701
Tb 1.1198 3.1000 13.6657
Tb 0.9691 0.0000 1.6724
Tb 2.5515 3.1000 10.4948
Tb 1.0174 2.9488 22.8011
Tb -0.6872 0.0000 22.2577
Tb 1.3302 0.0000 9.5271
Tb 0.5082 -2.4910 7.4112
Tb 4.4145 2.8162 4.1826
Tb -0.7432 -2.8162 19.9778
Tb 3.1631 2.4910 16.7493
Tb 2.3411 0.0000 14.6333
Tb 4.3585 0.0000 1.9028
Tb 2.6539 -2.9488 1.3593
Tb 1.1198 -3.1000 13.6657
Tb 2.7022 0.0000 22.4881
Tb 2.5515 -3.1000 10.4948
Tb 4.8180 0.0000 8.4903
Tb 1.0174 -2.9488 22.8011
Tb 4.4145 -2.8162 4.1826
Pm -2.4980 0.0000 18.9938
Pm 2.5731 0.0000 5.6296
Pm 1.0983 0.0000 18.5309
Pm 6.1693 0.0000 5.1667
Mg -0.1972 0.0000 12.4804
Mg 3.8686 0.0000 11.6800
```

Most intense lines, 2θ = 10–80°, sorted by position:
29.58 deg, intensity 27; 30.29 deg, intensity 37; 31.48 deg, intensity 100; 31.81 deg, intensity 95; 31.92 deg, intensity 36; 33.61 deg, intensity 35; 35.33 deg, intensity 16; 43.73 deg, intensity 14; 45.13 deg, intensity 18; 56.27 deg, intensity 28

=====

Entry 4:
Simulated X-ray powder pattern of TbPm2Mg3 for a wavelength of 1.5418 Å, from a DFT-relaxed cell (PBE, Alexandria).
Lines closer than 0.1° are merged.

Structural model:
```
6
Lattice="3.8398 0.0000 0.0000 0.0000 3.8398 0.0000 0.0000 0.0000 11.5503" Properties=species:S:1:pos:R:3 pbc="T T T"
Tb 0.0000 0.0000 0.0000
Pm 0.0000 0.0000 3.8201
Pm 0.0000 0.0000 7.7302
Mg 1.9199 1.9199 1.8686
Mg 1.9199 1.9199 5.7752
Mg 1.9199 1.9199 9.6817
```

Most intense lines, 2θ = 10–80°, sorted by position:
23.14 deg, intensity 61; 32.96 deg, intensity 100; 40.66 deg, intensity 19; 47.35 deg, intensity 12; 53.27 deg, intensity 17; 53.35 deg, intensity 9; 58.86 deg, intensity 38; 69.10 deg, intensity 8; 73.99 deg, intensity 10; 78.81 deg, intensity 11

=====

Entry 5:
Simulated X-ray powder pattern of Tb8Pm2Mg for a wavelength of 1.5418 Å, from a DFT-relaxed cell (PBE, Alexandria).
Lines closer than 0.1° are merged.

Structural model:
```
11
Lattice="-2.7635 3.8710 8.3768 2.7635 -3.8710 8.3768 2.7635 3.8710 -8.3768" Properties=species:S:1:pos:R:3 pbc="T T T"
Tb 2.7635 2.1647 -2.2623
Tb 0.0000 0.0000 2.9118
Tb 0.0000 2.0893 0.0000
Tb 2.7635 2.1647 2.2623
Tb 0.0000 1.7063 6.1145
Tb 0.0000 5.6526 0.0000
Tb 0.0000 0.0000 13.8418
Tb 0.0000 1.7063 10.6391
Pm 2.7635 0.0000 5.0972
Pm 0.0000 3.8710 3.2796
Mg 2.7635 0.0000 0.0000
```

Most intense lines, 2θ = 10–80°, sorted by position:
25.35 deg, intensity 14; 31.22 deg, intensity 26; 32.05 deg, intensity 10; 32.45 deg, intensity 100; 41.57 deg, intensity 8; 46.22 deg, intensity 8; 49.48 deg, intensity 10; 57.45 deg, intensity 9; 57.83 deg, intensity 15; 60.40 deg, intensity 11

=====

Entry 6:
Simulated X-ray powder pattern of Tb3Pm6Mg for a wavelength of 1.5418 Å, from a DFT-relaxed cell (PBE, Alexandria).
Lines closer than 0.1° are merged.

Structural model:
```
20
Lattice="4.7916 -7.4145 0.0000 4.7916 7.4145 0.0000 0.0000 0.0000 9.2345" Properties=species:S:1:pos:R:3 pbc="T T T"
Tb 4.7916 6.9169 4.6172
Tb 3.0956 2.1385 0.1391
Tb 3.0956 -2.1385 4.7564
Tb 6.4875 2.1385 0.1391
Tb 6.4875 -2.1385 4.7564
Tb 4.7916 -6.9169 0.0000
Pm 1.6798 2.3035 3.1115
Pm 4.7916 4.4169 2.0637
Pm 2.7149 1.1174 6.2146
Pm 1.6798 -2.3035 7.7287
Pm 2.7149 -1.1174 1.5973
Pm 4.7916 0.9168 3.2819
Pm 4.7916 -0.9168 7.8991
Pm 6.8682 1.1174 6.2146
Pm 7.9034 2.3035 3.1115
Pm 6.8682 -1.1174 1.5973
Pm 4.7916 -4.4169 6.6809
Pm 7.9034 -2.3035 7.7287
Mg 4.7916 3.6111 5.2648
Mg 4.7916 -3.6111 0.6475
```

Most intense lines, 2θ = 10–80°, sorted by position:
28.04 deg, intensity 56; 29.44 deg, intensity 49; 30.21 deg, intensity 71; 30.49 deg, intensity 33; 31.47 deg, intensity 100; 32.03 deg, intensity 70; 33.07 deg, intensity 41; 34.68 deg, intensity 45; 49.08 deg, intensity 21; 60.10 deg, intensity 19

=====

Entry 7:
Simulated X-ray powder pattern of Tb2Pm4Mg for a wavelength of 1.5418 Å, from a DFT-relaxed cell (PBE, Alexandria).
Lines closer than 0.1° are merged.

Structural model:
```
28
Lattice="3.5542 0.0000 0.0000 0.0000 21.8152 0.0000 -0.0113 0.0000 11.7958" Properties=species:S:1:pos:R:3 pbc="T T T"
Tb 0.8726 2.3153 1.8413
Tb 0.8670 8.5923 7.7392
Tb 0.8677 13.0813 9.9732
Tb 0.8734 19.6416 4.0753
Tb 2.6696 2.1737 7.7205
Tb 2.6752 8.7339 1.8226
Tb 2.6759 13.2229 4.0566
Tb 2.6703 19.5000 9.9545
Pm 0.8749 4.0824 5.0983
Pm 0.8693 6.8252 10.9962
Pm 0.8869 0.7998 10.4478
Pm 0.8925 10.1078 4.5499
Pm 0.8950 11.7474 1.3513
Pm 0.8894 20.9754 7.2492
Pm 0.9096 16.2553 3.7530
Pm 0.9040 16.4675 9.6509
Pm 2.6389 5.3477 2.1449
Pm 2.6333 5.5599 8.0428
Pm 2.6536 0.8398 4.5466
Pm 2.6480 10.0678 10.4445
Pm 2.6504 11.7074 7.2459
Pm 2.6561 21.0154 1.3480
Pm 2.6737 14.9900 0.7996
Pm 2.6680 17.7329 6.6975
Mg 0.8842 14.6443 6.7453
Mg 0.8898 18.0786 0.8474
Mg 2.6532 3.7367 10.9483
Mg 2.6588 7.1709 5.0505
```

Most intense lines, 2θ = 10–80°, sorted by position:
28.97 deg, intensity 34; 30.31 deg, intensity 27; 30.59 deg, intensity 35; 30.97 deg, intensity 62; 32.49 deg, intensity 100; 33.39 deg, intensity 22; 35.01 deg, intensity 37; 36.27 deg, intensity 22; 50.96 deg, intensity 26; 62.16 deg, intensity 29

=====

Entry 8:
Simulated X-ray powder pattern of Tb6Pm4Mg for a wavelength of 1.5418 Å, from a DFT-relaxed cell (PBE, Alexandria).
Lines closer than 0.1° are merged.

Structural model:
```
11
Lattice="0.0000 4.9802 8.4225 4.4338 0.0000 8.4225 4.4338 4.9802 0.0000" Properties=species:S:1:pos:R:3 pbc="T T T"
Tb 5.9820 4.9802 3.0349
Tb 4.4338 1.7456 8.4225
Tb 2.2169 2.4901 5.6078
Tb 2.8856 4.9802 3.0349
Tb 4.4338 8.2147 8.4225
Tb 6.6507 7.4702 14.0303
Pm 5.9738 4.9802 8.1092
Pm 4.4338 3.2304 11.2781
Pm 2.8939 4.9802 8.1092
Pm 4.4338 6.7300 11.2781
Mg 4.4338 4.9802 14.0812
```

Most intense lines, 2θ = 10–80°, sorted by position:
22.66 deg, intensity 36; 27.74 deg, intensity 34; 28.97 deg, intensity 69; 29.22 deg, intensity 43; 31.88 deg, intensity 72; 32.03 deg, intensity 36; 32.93 deg, intensity 100; 34.45 deg, intensity 73; 35.48 deg, intensity 70; 55.96 deg, intensity 28